Structure and simulated powder diffraction line list of V3Co7 (a structure optimized by DFT (GGA-PBE); a wavelength of 1.5418 Å).

Cell and atoms:
Unit cell a=6.6746 b=6.6746 c=4.9844 alpha=102.57 beta=102.57 gamma=30.82
Atoms (fractional coordinates):
V 0.0000 0.0000 0.0000
V 0.1927 0.1927 0.6198
V 0.8073 0.8073 0.3802
Co 0.0000 0.0000 0.5000
Co 0.2021 0.2021 0.1119
Co 0.3997 0.3997 0.6918
Co 0.4009 0.4009 0.1958
Co 0.5991 0.5991 0.8042
Co 0.6003 0.6003 0.3082
Co 0.7979 0.7979 0.8881

Principal peaks in the range 2θ = 5–70°, in order of falling intensity:
- 44.24 deg, rel. 100
- 44.44 deg, rel. 97
- 51.54 deg, rel. 31
- 50.81 deg, rel. 31
- 52.64 deg, rel. 29
- 20.45 deg, rel. 1
- 46.47 deg, rel. 1
- 35.56 deg, rel. 1
- 25.62 deg, rel. 1
- 52.92 deg, rel. 1

---

Structure and simulated powder diffraction line list of Pm12ErTm3 (a structure optimized by DFT (GGA-PBE); a wavelength of 1.5418 Å).

Cell and atoms:
Unit cell a=5.1067 b=5.1067 c=20.3736 alpha=90.00 beta=90.00 gamma=90.00
Atoms (fractional coordinates):
Pm 0.0000 0.0000 0.0000
Pm 0.0000 0.0000 0.2501
Pm 0.0000 0.0000 0.5000
Pm 0.0000 0.0000 0.7499
Pm 0.0000 0.5000 0.1252
Pm 0.0000 0.5000 0.3750
Pm 0.0000 0.5000 0.6250
Pm 0.0000 0.5000 0.8748
Pm 0.5000 0.0000 0.1252
Pm 0.5000 0.0000 0.3750
Pm 0.5000 0.0000 0.6250
Pm 0.5000 0.0000 0.8748
Er 0.5000 0.5000 0.0000
Tm 0.5000 0.5000 0.2501
Tm 0.5000 0.5000 0.5000
Tm 0.5000 0.5000 0.7499

Principal peaks in the range 2θ = 5–70°, in order of falling intensity:
- 30.34 deg, rel. 100
- 35.18 deg, rel. 51
- 50.60 deg, rel. 36
- 60.11 deg, rel. 29
- 60.23 deg, rel. 14
- 63.12 deg, rel. 12